The following is a simulated powder XRD pattern of Co2W4C. It was derived from a GGA-PBE-relaxed structure, using Cu Kα (λ = 1.5418 Å).

Atomic structure:
```
data_Co2W4C
_symmetry_space_group_name_H-M 'P 1'
_symmetry_Int_Tables_number 1
_cell_length_a 8.0128
_cell_length_b 8.0128
_cell_length_c 8.0128
_cell_angle_alpha 60.00
_cell_angle_beta 60.00
_cell_angle_gamma 60.00
loop_
_symmetry_equiv_pos_as_xyz
'x,y,z'
loop_
_atom_site_label
_atom_site_type_symbol
_atom_site_fract_x
_atom_site_fract_y
_atom_site_fract_z
Co1 Co 0.1194 0.7935 0.7935
Co2 Co 0.2065 0.2065 0.2065
Co3 Co 0.2065 0.2065 0.8806
Co4 Co 0.2065 0.8806 0.2065
Co5 Co 0.7935 0.1194 0.7935
Co6 Co 0.7935 0.7935 0.1194
Co7 Co 0.7935 0.7935 0.7935
Co8 Co 0.8806 0.2065 0.2065
W1 W 0.0000 0.0000 0.0000
W2 W 0.0000 0.0000 0.5000
W3 W 0.0000 0.5000 0.0000
W4 W 0.1867 0.1867 0.5633
W5 W 0.1867 0.5633 0.1867
W6 W 0.1867 0.5633 0.5633
W7 W 0.4367 0.4367 0.8133
W8 W 0.4367 0.8133 0.4367
W9 W 0.4367 0.8133 0.8133
W10 W 0.5000 0.0000 0.0000
W11 W 0.5633 0.1867 0.1867
W12 W 0.5633 0.1867 0.5633
W13 W 0.5633 0.5633 0.1867
W14 W 0.8133 0.4367 0.4367
W15 W 0.8133 0.4367 0.8133
W16 W 0.8133 0.8133 0.4367
C1 C 0.0000 0.5000 0.5000
C2 C 0.5000 0.0000 0.5000
C3 C 0.5000 0.5000 0.0000
C4 C 0.5000 0.5000 0.5000
```

The 8 most intense peaks (2θ = 5–70°), low angle first:
2theta	I/Imax
27.26	74
34.50	484
38.94	488
41.40	1000
45.27	358
53.65	102
63.01	63
67.68	155



The following is a simulated powder XRD pattern of LuZn12. It was derived from a GGA-PBE-relaxed structure, using Cu Kα (λ = 1.5418 Å).

Atomic structure:
```
data_LuZn12
_symmetry_space_group_name_H-M 'P 1'
_symmetry_Int_Tables_number 1
_cell_length_a 6.7267
_cell_length_b 6.7267
_cell_length_c 6.7267
_cell_angle_alpha 99.28
_cell_angle_beta 99.28
_cell_angle_gamma 132.66
loop_
_symmetry_equiv_pos_as_xyz
'x,y,z'
loop_
_atom_site_label
_atom_site_type_symbol
_atom_site_fract_x
_atom_site_fract_y
_atom_site_fract_z
Lu1 Lu 0.0000 0.0000 0.0000
Zn1 Zn 0.0000 0.0000 0.5000
Zn2 Zn 0.0000 0.3508 0.3508
Zn3 Zn 0.0000 0.5000 0.0000
Zn4 Zn 0.0000 0.6492 0.6492
Zn5 Zn 0.2823 0.5000 0.7823
Zn6 Zn 0.3508 0.0000 0.3508
Zn7 Zn 0.5000 0.0000 0.0000
Zn8 Zn 0.5000 0.2823 0.7823
Zn9 Zn 0.5000 0.5000 0.5000
Zn10 Zn 0.5000 0.7177 0.2177
Zn11 Zn 0.6492 0.0000 0.6492
Zn12 Zn 0.7177 0.5000 0.2177
```

The 8 most intense peaks (2θ = 5–70°), low angle first:
2theta	I/Imax
28.24	257
33.17	205
35.08	510
39.25	800
40.91	1000
41.46	553
44.62	356
64.55	314



The following is a simulated powder XRD pattern of LiNi2Sn. It was derived from a GGA-PBE-relaxed structure, using Cu Kα (λ = 1.5418 Å).

Atomic structure:
```
data_LiNi2Sn
_symmetry_space_group_name_H-M 'P 1'
_symmetry_Int_Tables_number 1
_cell_length_a 4.2376
_cell_length_b 4.2376
_cell_length_c 4.2376
_cell_angle_alpha 60.00
_cell_angle_beta 60.00
_cell_angle_gamma 60.00
loop_
_symmetry_equiv_pos_as_xyz
'x,y,z'
loop_
_atom_site_label
_atom_site_type_symbol
_atom_site_fract_x
_atom_site_fract_y
_atom_site_fract_z
Li1 Li 0.0000 0.0000 0.0000
Ni1 Ni 0.2500 0.2500 0.2500
Ni2 Ni 0.7500 0.7500 0.7500
Sn1 Sn 0.5000 0.5000 0.5000
```

The 5 most intense peaks (2θ = 5–70°), low angle first:
2theta	I/Imax
25.75	519
42.67	1000
50.51	259
61.94	162
68.21	109



The following is a simulated powder XRD pattern of Hf2Se3S3. It was derived from a GGA-PBE-relaxed structure, using Cu Kα (λ = 1.5418 Å).

Atomic structure:
```
data_Hf2Se3S3
_symmetry_space_group_name_H-M 'P 1'
_symmetry_Int_Tables_number 1
_cell_length_a 5.3865
_cell_length_b 3.6918
_cell_length_c 9.5636
_cell_angle_alpha 90.00
_cell_angle_beta 96.71
_cell_angle_gamma 90.00
loop_
_symmetry_equiv_pos_as_xyz
'x,y,z'
loop_
_atom_site_label
_atom_site_type_symbol
_atom_site_fract_x
_atom_site_fract_y
_atom_site_fract_z
Hf1 Hf 0.0000 0.0000 0.0000
Hf2 Hf 0.4396 0.5000 0.6868
Se1 Se 0.1919 0.0000 0.5093
Se2 Se 0.4803 0.0000 0.8987
Se3 Se 0.9595 0.5000 0.7886
S1 S 0.2288 0.5000 0.1582
S2 S 0.6123 0.0000 0.5337
S3 S 0.8406 0.5000 0.1610
```

The 8 most intense peaks (2θ = 5–70°), low angle first:
2theta	I/Imax
9.31	1000
18.06	250
19.98	175
30.67	603
36.14	144
39.72	227
42.59	149
43.74	164